Simulated XRD peak list of Mn5Ge2N6 for Cu Kα, 1.54184 Å, from a GGA-PBE-relaxed structure.
Neutral-atom scattering factors, no anomalous dispersion.

Main lines, in order of rising 2θ (2θ from 10° to 90°):
Position (°2θ)  d (Å)  I/Imax  h k l
27.07  3.294  78  1 1 -2
28.30  3.153  91  4 0 0
29.91  2.987  43  3 1 1
33.52  2.673  100  4 0 -2
34.91  2.570  37  4 0 2
39.67  2.272  94  2 2 0
41.52  2.175  73  2 0 4
45.48  1.995  68  5 1 2
47.24  1.924  42  0 2 3
55.61  1.653  36  5 1 -4

Structure:
```
data_Mn5Ge2N6
_space_group_name_H-M_alt 'C 1 2/c 1'
_space_group_IT_number 15
_space_group_name_Hall '-C 2yc'
_cell_length_a 12.6240
_cell_length_b 4.8728
_cell_length_c 9.4176
_cell_angle_alpha 90.00
_cell_angle_beta 92.36
_cell_angle_gamma 90.00
loop_
_atom_site_label
_atom_site_fract_x
_atom_site_fract_y
_atom_site_fract_z
Mn1 0.0000 0.1262 0.2500
Mn2 0.0149 0.2403 0.9925
Mn3 0.1070 0.3844 0.7201
Ge1 0.2465 0.4604 0.4046
N1 0.0396 0.4556 0.3720
N2 0.0888 0.0278 0.6101
N3 0.2300 0.4403 0.6070
```